Entry 1:
Starting from a cell relaxed with PBE, the powder XRD pattern of LaCe2Zn9 was calculated for Cu Ka.
Intensities are scaled so that the largest is 100.

Structural model:
```
LaCe2Zn9
1.0
2.7343 1.5786 8.8478
-2.7343 1.5786 8.8478
0.0000 -3.1573 8.8478
La Ce Zn
1 2 9
Direct
0.0000 0.0000 0.0000
0.1482 0.1482 0.1482
0.8518 0.8518 0.8518
0.0777 0.5837 0.5837
0.3354 0.3354 0.3354
0.4163 0.4163 0.9223
0.4163 0.9223 0.4163
0.5000 0.5000 0.5000
0.5837 0.0777 0.5837
0.5837 0.5837 0.0777
0.6646 0.6646 0.6646
0.9223 0.4163 0.4163
```

Main lines, by angle (2θ from 15° to 90°):
two_theta  I_rel
30.19  25.9
32.75  34.6
32.96  17.3
38.16  27.2
38.71  100.0
40.79  18.1
41.77  10.4
59.81  9.7
62.47  24.2
62.78  9.8
68.65  18.1
83.04  12.5



Entry 2:
Starting from a cell relaxed with PBE, the powder XRD pattern of LiCeMg4 was calculated for Cu Ka.
Intensities are scaled so that the largest is 100.

Structural model:
```
LiCeMg4
1.0
3.3078 0.0000 0.0000
0.0000 3.3078 0.0000
0.0000 0.0000 12.5925
Li Ce Mg
1 1 4
Direct
0.0000 0.0000 0.0000
0.5000 0.5000 0.5000
0.0000 0.0000 0.3030
0.0000 0.0000 0.6970
0.5000 0.5000 0.1397
0.5000 0.5000 0.8603
```

Main lines, by angle (2θ from 15° to 90°):
two_theta  I_rel
21.17  29.3
26.95  31.6
27.89  28.6
30.53  69.9
34.52  100.0
35.65  17.2
38.49  41.7
39.17  18.2
44.33  16.9
53.46  21.1
64.73  15.9
67.08  27.8



Entry 3:
Starting from a cell relaxed with PBE, the powder XRD pattern of Li2Ce2Mg15 was calculated for Cu Ka.
Intensities are scaled so that the largest is 100.

Structural model:
```
Li2Ce2Mg15
1.0
5.1492 2.9729 5.0437
-5.1492 2.9729 5.0437
0.0000 -5.9457 5.0437
Li Ce Mg
2 2 15
Direct
0.0978 0.0978 0.0978
0.9022 0.9022 0.9022
0.3350 0.3350 0.3350
0.6650 0.6650 0.6650
0.0000 0.0000 0.5000
0.0000 0.3051 0.6948
0.0000 0.5000 0.0000
0.0000 0.6948 0.3051
0.1599 0.6506 0.6506
0.3051 0.0000 0.6948
0.3051 0.6948 0.0000
0.3494 0.3494 0.8401
0.3494 0.8401 0.3494
0.5000 0.0000 0.0000
0.6506 0.1599 0.6506
0.6506 0.6506 0.1599
0.6948 0.0000 0.3051
0.6948 0.3052 0.0000
0.8401 0.3494 0.3494
```

Main lines, by angle (2θ from 15° to 90°):
two_theta  I_rel
15.36  21.3
17.22  20.7
24.71  78.1
30.06  38.5
34.85  42.5
35.04  100.0
35.62  37.1
47.27  21.5
50.25  25.2
50.68  28.9
56.65  21.7
62.49  18.3



Entry 4:
Starting from a cell relaxed with PBE, the powder XRD pattern of Li2CeMg8 was calculated for Cu Ka.
Intensities are scaled so that the largest is 100.

Structural model:
```
Li2CeMg8
1.0
-3.0574 3.0574 9.2023
3.0574 -3.0574 9.2023
3.0574 3.0574 -9.2023
Li Ce Mg
2 1 8
Direct
0.2500 0.7500 0.5000
0.7500 0.2500 0.5000
0.0000 0.0000 0.0000
0.1053 0.1053 0.5007
0.1053 0.6046 0.0000
0.3954 0.3954 0.5007
0.3954 0.8947 0.0000
0.6046 0.1053 0.0000
0.6046 0.6046 0.4993
0.8947 0.3954 0.0000
0.8947 0.8947 0.4993
```

Main lines, by angle (2θ from 15° to 90°):
two_theta  I_rel
15.27  100.0
20.52  72.8
22.72  46.3
28.31  42.7
29.12  22.3
30.82  31.1
33.12  30.6
35.24  72.5
35.93  38.4
41.78  26.0
48.04  23.1
58.56  25.6